(1)
Ho5In4Pd2: theoretical XRD peak list (Cu Kα), based on a cell relaxed with GGA-PBE.
Lines closer than 0.1° are merged.

Atomic structure:
```
data_Ho5In4Pd2
_cell_length_a 8.1157
_cell_length_b 18.2422
_cell_length_c 3.6179
_cell_angle_alpha 90.00
_cell_angle_beta 90.00
_cell_angle_gamma 90.00
_symmetry_space_group_name_H-M 'P 1'
_symmetry_Int_Tables_number 1
_symmetry_space_group_name_Hall 'P 1'
loop_
_atom_site_label
_atom_site_type_symbol
_atom_site_fract_x
_atom_site_fract_y
_atom_site_fract_z
_atom_site_occupancy
Ho1 Ho 0.0000 0.0000 0.0000 1
Ho2 Ho 0.1130 0.4179 0.0000 1
Ho3 Ho 0.2401 0.2200 0.0000 1
Ho4 Ho 0.2599 0.7200 0.0000 1
Ho5 Ho 0.3870 0.9179 0.0000 1
Ho6 Ho 0.5000 0.5000 0.0000 1
Ho7 Ho 0.6130 0.0821 0.0000 1
Ho8 Ho 0.7401 0.2800 0.0000 1
Ho9 Ho 0.7599 0.7800 0.0000 1
Ho10 Ho 0.8870 0.5821 0.0000 1
In1 In 0.0811 0.8510 0.5000 1
In2 In 0.2128 0.5691 0.5000 1
In3 In 0.2872 0.0691 0.5000 1
In4 In 0.4189 0.3510 0.5000 1
In5 In 0.5811 0.6490 0.5000 1
In6 In 0.7128 0.9309 0.5000 1
In7 In 0.7872 0.4309 0.5000 1
In8 In 0.9189 0.1490 0.5000 1
Pd1 Pd 0.0248 0.3038 0.5000 1
Pd2 Pd 0.4752 0.8038 0.5000 1
Pd3 Pd 0.5248 0.1962 0.5000 1
Pd4 Pd 0.9752 0.6962 0.5000 1
```

Main lines, most intense first (2θ from 10° to 90°):
2θ (°)  I (rel.)
34.6  100
33.5  81
36.7  29
36.4  28
36.2  27
50.4  20
36.9  16
63.7  15
31.4  13
31.6  12

(2)
PmHoIn2: theoretical XRD peak list (Cu Kα), based on a cell relaxed with GGA-PBE.
Lines closer than 0.1° are merged.

Atomic structure:
```
data_PmHoIn2
_cell_length_a 7.6179
_cell_length_b 7.6179
_cell_length_c 7.6179
_cell_angle_alpha 90.00
_cell_angle_beta 90.00
_cell_angle_gamma 90.00
_symmetry_space_group_name_H-M 'P 1'
_symmetry_Int_Tables_number 1
_symmetry_space_group_name_Hall 'P 1'
loop_
_atom_site_label
_atom_site_type_symbol
_atom_site_fract_x
_atom_site_fract_y
_atom_site_fract_z
_atom_site_occupancy
Pm1 Pm 0.0000 0.0000 0.0000 1
Pm2 Pm 0.0000 0.5000 0.5000 1
Pm3 Pm 0.5000 0.0000 0.5000 1
Pm4 Pm 0.5000 0.5000 0.0000 1
Ho1 Ho 0.0000 0.0000 0.5000 1
Ho2 Ho 0.0000 0.5000 0.0000 1
Ho3 Ho 0.5000 0.0000 0.0000 1
Ho4 Ho 0.5000 0.5000 0.5000 1
In1 In 0.2500 0.2500 0.2500 1
In2 In 0.2500 0.2500 0.7500 1
In3 In 0.2500 0.7500 0.2500 1
In4 In 0.2500 0.7500 0.7500 1
In5 In 0.7500 0.2500 0.2500 1
In6 In 0.7500 0.2500 0.7500 1
In7 In 0.7500 0.7500 0.2500 1
In8 In 0.7500 0.7500 0.7500 1
```

Main lines, most intense first (2θ from 10° to 90°):
2θ (°)  I (rel.)
33.3  100
59.4  37
47.8  18
79.6  16
69.8  11
89.0  4
23.4  2
53.8  1
41.0  1
74.8  1

(3)
HoInPt: theoretical XRD peak list (Cu Kα), based on a cell relaxed with GGA-PBE.
Lines closer than 0.1° are merged.

Atomic structure:
```
data_HoInPt
_cell_length_a 7.6769
_cell_length_b 7.6769
_cell_length_c 3.8483
_cell_angle_alpha 90.00
_cell_angle_beta 90.00
_cell_angle_gamma 120.00
_symmetry_space_group_name_H-M 'P 1'
_symmetry_Int_Tables_number 1
_symmetry_space_group_name_Hall 'P 1'
loop_
_atom_site_label
_atom_site_type_symbol
_atom_site_fract_x
_atom_site_fract_y
_atom_site_fract_z
_atom_site_occupancy
Ho1 Ho 0.0000 0.4060 0.0000 1
Ho2 Ho 0.4060 0.0000 0.0000 1
Ho3 Ho 0.5940 0.5940 0.0000 1
In1 In 0.0000 0.7389 0.5000 1
In2 In 0.2611 0.2611 0.5000 1
In3 In 0.7389 0.0000 0.5000 1
Pt1 Pt 0.0000 0.0000 0.0000 1
Pt2 Pt 0.3333 0.6667 0.5000 1
Pt3 Pt 0.6667 0.3333 0.5000 1
```

Main lines, most intense first (2θ from 10° to 90°):
2θ (°)  I (rel.)
35.7  100
33.0  62
40.7  40
43.0  28
65.9  27
64.1  21
47.2  19
75.7  14
26.8  11
23.2  11

(4)
Ho12InPt7: theoretical XRD peak list (Cu Kα), based on a cell relaxed with GGA-PBE.
Lines closer than 0.1° are merged.

Atomic structure:
```
data_Ho12InPt7
_cell_length_a 10.9141
_cell_length_b 10.9141
_cell_length_c 10.9141
_cell_angle_alpha 116.03
_cell_angle_beta 116.03
_cell_angle_gamma 97.02
_symmetry_space_group_name_H-M 'P 1'
_symmetry_Int_Tables_number 1
_symmetry_space_group_name_Hall 'P 1'
loop_
_atom_site_label
_atom_site_type_symbol
_atom_site_fract_x
_atom_site_fract_y
_atom_site_fract_z
_atom_site_occupancy
Ho1 Ho 0.0620 0.9283 0.2807 1
Ho2 Ho 0.0717 0.3525 0.1337 1
Ho3 Ho 0.1333 0.6333 0.5000 1
Ho4 Ho 0.1475 0.4283 0.8663 1
Ho5 Ho 0.1771 0.3229 0.5000 1
Ho6 Ho 0.2188 0.9380 0.8663 1
Ho7 Ho 0.2812 0.1475 0.7193 1
Ho8 Ho 0.3229 0.8229 0.1458 1
Ho9 Ho 0.3525 0.2188 0.2807 1
Ho10 Ho 0.3667 0.8667 0.5000 1
Ho11 Ho 0.4283 0.5620 0.2807 1
Ho12 Ho 0.4380 0.7188 0.8663 1
Ho13 Ho 0.5620 0.2812 0.1337 1
Ho14 Ho 0.5717 0.4380 0.7193 1
Ho15 Ho 0.6333 0.1333 0.5000 1
Ho16 Ho 0.6475 0.7812 0.7193 1
Ho17 Ho 0.6771 0.1771 0.8542 1
Ho18 Ho 0.7188 0.8525 0.2807 1
Ho19 Ho 0.7812 0.0620 0.1337 1
Ho20 Ho 0.8229 0.6771 0.5000 1
Ho21 Ho 0.8525 0.5717 0.1337 1
Ho22 Ho 0.8667 0.3667 0.5000 1
Ho23 Ho 0.9283 0.6475 0.8663 1
Ho24 Ho 0.9380 0.0717 0.7193 1
In1 In 0.0000 0.0000 0.0000 1
In2 In 0.5000 0.5000 0.0000 1
Pt1 Pt 0.0208 0.8638 0.5000 1
Pt2 Pt 0.1283 0.6283 0.7566 1
Pt3 Pt 0.1362 0.6362 0.1570 1
Pt4 Pt 0.2500 0.2500 0.0000 1
Pt5 Pt 0.3638 0.5208 0.5000 1
Pt6 Pt 0.3717 0.1283 0.5000 1
Pt7 Pt 0.4792 0.9792 0.8430 1
Pt8 Pt 0.5208 0.0208 0.1570 1
Pt9 Pt 0.6283 0.8717 0.5000 1
Pt10 Pt 0.6362 0.4792 0.5000 1
Pt11 Pt 0.7500 0.7500 0.0000 1
Pt12 Pt 0.8638 0.3638 0.8430 1
Pt13 Pt 0.8717 0.3717 0.2434 1
Pt14 Pt 0.9792 0.1362 0.5000 1
```

Main lines, most intense first (2θ from 10° to 90°):
2θ (°)  I (rel.)
34.9  100
32.5  67
37.1  54
33.6  48
34.7  41
32.9  35
37.3  25
50.5  20
62.3  19
33.1  17

(5)
Ho4InRh: theoretical XRD peak list (Cu Kα), based on a cell relaxed with GGA-PBE.
Lines closer than 0.1° are merged.

Atomic structure:
```
data_Ho4InRh
_cell_length_a 9.6184
_cell_length_b 9.6184
_cell_length_c 9.6184
_cell_angle_alpha 60.00
_cell_angle_beta 60.00
_cell_angle_gamma 60.00
_symmetry_space_group_name_H-M 'P 1'
_symmetry_Int_Tables_number 1
_symmetry_space_group_name_Hall 'P 1'
loop_
_atom_site_label
_atom_site_type_symbol
_atom_site_fract_x
_atom_site_fract_y
_atom_site_fract_z
_atom_site_occupancy
Ho1 Ho 0.1879 0.1879 0.8121 1
Ho2 Ho 0.1879 0.8121 0.1879 1
Ho3 Ho 0.1879 0.8121 0.8121 1
Ho4 Ho 0.4004 0.4004 0.4004 1
Ho5 Ho 0.4004 0.4004 0.7987 1
Ho6 Ho 0.4004 0.7987 0.4004 1
Ho7 Ho 0.5606 0.5606 0.9394 1
Ho8 Ho 0.5606 0.9394 0.5606 1
Ho9 Ho 0.5606 0.9394 0.9394 1
Ho10 Ho 0.7987 0.4004 0.4004 1
Ho11 Ho 0.8121 0.1879 0.1879 1
Ho12 Ho 0.8121 0.1879 0.8121 1
Ho13 Ho 0.8121 0.8121 0.1879 1
Ho14 Ho 0.9394 0.5606 0.5606 1
Ho15 Ho 0.9394 0.5606 0.9394 1
Ho16 Ho 0.9394 0.9394 0.5606 1
In1 In 0.1672 0.1672 0.1672 1
In2 In 0.1672 0.1672 0.4983 1
In3 In 0.1672 0.4983 0.1672 1
In4 In 0.4983 0.1672 0.1672 1
Rh1 Rh 0.1769 0.6077 0.6077 1
Rh2 Rh 0.6077 0.1769 0.6077 1
Rh3 Rh 0.6077 0.6077 0.1769 1
Rh4 Rh 0.6077 0.6077 0.6077 1
```

Main lines, most intense first (2θ from 10° to 90°):
2θ (°)  I (rel.)
34.3  100
32.2  51
57.5  47
37.4  32
28.6  26
88.7  15
68.7  15
86.8  14
58.8  13
55.3  10

(6)
HoInRh2: theoretical XRD peak list (Cu Kα), based on a cell relaxed with GGA-PBE.
Lines closer than 0.1° are merged.

Atomic structure:
```
data_HoInRh2
_cell_length_a 6.6384
_cell_length_b 6.6384
_cell_length_c 6.6384
_cell_angle_alpha 90.00
_cell_angle_beta 90.00
_cell_angle_gamma 90.00
_symmetry_space_group_name_H-M 'P 1'
_symmetry_Int_Tables_number 1
_symmetry_space_group_name_Hall 'P 1'
loop_
_atom_site_label
_atom_site_type_symbol
_atom_site_fract_x
_atom_site_fract_y
_atom_site_fract_z
_atom_site_occupancy
Ho1 Ho 0.0000 0.0000 0.0000 1
Ho2 Ho 0.0000 0.5000 0.5000 1
Ho3 Ho 0.5000 0.0000 0.5000 1
Ho4 Ho 0.5000 0.5000 0.0000 1
In1 In 0.0000 0.0000 0.5000 1
In2 In 0.0000 0.5000 0.0000 1
In3 In 0.5000 0.0000 0.0000 1
In4 In 0.5000 0.5000 0.5000 1
Rh1 Rh 0.2500 0.2500 0.2500 1
Rh2 Rh 0.2500 0.2500 0.7500 1
Rh3 Rh 0.2500 0.7500 0.2500 1
Rh4 Rh 0.2500 0.7500 0.7500 1
Rh5 Rh 0.7500 0.2500 0.2500 1
Rh6 Rh 0.7500 0.2500 0.7500 1
Rh7 Rh 0.7500 0.7500 0.2500 1
Rh8 Rh 0.7500 0.7500 0.7500 1
```

Main lines, most intense first (2θ from 10° to 90°):
2θ (°)  I (rel.)
38.4  100
69.4  34
55.4  17
82.1  11
26.9  2
23.2  2
45.3  1
62.6  1
47.4  1
60.8  1

(7)
Ho3InS6: theoretical XRD peak list (Cu Kα), based on a cell relaxed with GGA-PBE.
Lines closer than 0.1° are merged.

Atomic structure:
```
data_Ho3InS6
_cell_length_a 13.3957
_cell_length_b 16.5479
_cell_length_c 3.8580
_cell_angle_alpha 90.00
_cell_angle_beta 90.00
_cell_angle_gamma 90.00
_symmetry_space_group_name_H-M 'P 1'
_symmetry_Int_Tables_number 1
_symmetry_space_group_name_Hall 'P 1'
loop_
_atom_site_label
_atom_site_type_symbol
_atom_site_fract_x
_atom_site_fract_y
_atom_site_fract_z
_atom_site_occupancy
Ho1 Ho 0.0363 0.2232 0.2459 1
Ho2 Ho 0.1904 0.6439 0.2471 1
Ho3 Ho 0.2466 0.3892 0.2366 1
Ho4 Ho 0.2534 0.8892 0.7634 1
Ho5 Ho 0.3096 0.1439 0.7529 1
Ho6 Ho 0.4637 0.7232 0.7541 1
Ho7 Ho 0.5363 0.2768 0.7541 1
Ho8 Ho 0.6904 0.8561 0.7529 1
Ho9 Ho 0.7466 0.1108 0.7634 1
Ho10 Ho 0.7534 0.6108 0.2366 1
Ho11 Ho 0.8096 0.3561 0.2471 1
Ho12 Ho 0.9637 0.7768 0.2459 1
In1 In 0.0000 0.0000 0.8972 1
In2 In 0.0000 0.5000 0.7484 1
In3 In 0.5000 0.0000 0.2516 1
In4 In 0.5000 0.5000 0.1028 1
S1 S 0.0206 0.3937 0.2471 1
S2 S 0.1036 0.9062 0.2699 1
S3 S 0.1081 0.1154 0.7476 1
S4 S 0.1152 0.7439 0.7488 1
S5 S 0.1791 0.2829 0.7410 1
S6 S 0.1930 0.5194 0.7464 1
S7 S 0.3070 0.0194 0.2536 1
S8 S 0.3209 0.7829 0.2590 1
S9 S 0.3848 0.2439 0.2512 1
S10 S 0.3919 0.6154 0.2524 1
S11 S 0.3964 0.4062 0.7301 1
S12 S 0.4794 0.8937 0.7529 1
S13 S 0.5206 0.1063 0.7529 1
S14 S 0.6036 0.5938 0.7301 1
S15 S 0.6081 0.3846 0.2524 1
S16 S 0.6152 0.7561 0.2512 1
S17 S 0.6791 0.2171 0.2590 1
S18 S 0.6930 0.9806 0.2536 1
S19 S 0.8070 0.4806 0.7464 1
S20 S 0.8209 0.7171 0.7410 1
S21 S 0.8848 0.2561 0.7488 1
S22 S 0.8919 0.8846 0.7476 1
S23 S 0.8964 0.0938 0.2699 1
S24 S 0.9794 0.6063 0.2471 1
```

Main lines, most intense first (2θ from 10° to 90°):
2θ (°)  I (rel.)
25.3  100
27.2  60
26.3  49
34.8  43
35.7  42
31.3  37
41.4  32
32.5  30
47.1  29
26.6  28

(8)
TbHoIn2: theoretical XRD peak list (Cu Kα), based on a cell relaxed with GGA-PBE.
Lines closer than 0.1° are merged.

Atomic structure:
```
data_TbHoIn2
_cell_length_a 7.5414
_cell_length_b 7.5414
_cell_length_c 7.5414
_cell_angle_alpha 90.00
_cell_angle_beta 90.00
_cell_angle_gamma 90.00
_symmetry_space_group_name_H-M 'P 1'
_symmetry_Int_Tables_number 1
_symmetry_space_group_name_Hall 'P 1'
loop_
_atom_site_label
_atom_site_type_symbol
_atom_site_fract_x
_atom_site_fract_y
_atom_site_fract_z
_atom_site_occupancy
Tb1 Tb 0.0000 0.0000 0.0000 1
Tb2 Tb 0.0000 0.5000 0.5000 1
Tb3 Tb 0.5000 0.0000 0.5000 1
Tb4 Tb 0.5000 0.5000 0.0000 1
Ho1 Ho 0.0000 0.0000 0.5000 1
Ho2 Ho 0.0000 0.5000 0.0000 1
Ho3 Ho 0.5000 0.0000 0.0000 1
Ho4 Ho 0.5000 0.5000 0.5000 1
In1 In 0.2500 0.2500 0.2500 1
In2 In 0.2500 0.2500 0.7500 1
In3 In 0.2500 0.7500 0.2500 1
In4 In 0.2500 0.7500 0.7500 1
In5 In 0.7500 0.2500 0.2500 1
In6 In 0.7500 0.2500 0.7500 1
In7 In 0.7500 0.7500 0.2500 1
In8 In 0.7500 0.7500 0.7500 1
```

Main lines, most intense first (2θ from 10° to 90°):
2θ (°)  I (rel.)
33.6  100
60.1  37
48.3  18
80.6  16
70.7  11
23.6  3
54.4  1
41.5  1
75.7  1

(9)
Ho2TlIn: theoretical XRD peak list (Cu Kα), based on a cell relaxed with GGA-PBE.
Lines closer than 0.1° are merged.

Atomic structure:
```
data_Ho2TlIn
_cell_length_a 7.5440
_cell_length_b 7.5440
_cell_length_c 7.5440
_cell_angle_alpha 90.00
_cell_angle_beta 90.00
_cell_angle_gamma 90.00
_symmetry_space_group_name_H-M 'P 1'
_symmetry_Int_Tables_number 1
_symmetry_space_group_name_Hall 'P 1'
loop_
_atom_site_label
_atom_site_type_symbol
_atom_site_fract_x
_atom_site_fract_y
_atom_site_fract_z
_atom_site_occupancy
Ho1 Ho 0.2500 0.2500 0.2500 1
Ho2 Ho 0.2500 0.2500 0.7500 1
Ho3 Ho 0.2500 0.7500 0.2500 1
Ho4 Ho 0.2500 0.7500 0.7500 1
Ho5 Ho 0.7500 0.2500 0.2500 1
Ho6 Ho 0.7500 0.2500 0.7500 1
Ho7 Ho 0.7500 0.7500 0.2500 1
Ho8 Ho 0.7500 0.7500 0.7500 1
Tl1 Tl 0.0000 0.0000 0.0000 1
Tl2 Tl 0.0000 0.5000 0.5000 1
Tl3 Tl 0.5000 0.0000 0.5000 1
Tl4 Tl 0.5000 0.5000 0.0000 1
In1 In 0.0000 0.0000 0.5000 1
In2 In 0.0000 0.5000 0.0000 1
In3 In 0.5000 0.0000 0.0000 1
In4 In 0.5000 0.5000 0.5000 1
```

Main lines, most intense first (2θ from 10° to 90°):
2θ (°)  I (rel.)
33.6  100
60.1  38
48.3  18
80.5  16
70.6  12
20.4  4
39.6  2
52.9  1
74.4  1
64.1  1

(10)
HoTmIn2: theoretical XRD peak list (Cu Kα), based on a cell relaxed with GGA-PBE.
Lines closer than 0.1° are merged.

Atomic structure:
```
data_HoTmIn2
_cell_length_a 7.4594
_cell_length_b 7.4594
_cell_length_c 7.4594
_cell_angle_alpha 90.00
_cell_angle_beta 90.00
_cell_angle_gamma 90.00
_symmetry_space_group_name_H-M 'P 1'
_symmetry_Int_Tables_number 1
_symmetry_space_group_name_Hall 'P 1'
loop_
_atom_site_label
_atom_site_type_symbol
_atom_site_fract_x
_atom_site_fract_y
_atom_site_fract_z
_atom_site_occupancy
Ho1 Ho 0.0000 0.0000 0.0000 1
Ho2 Ho 0.0000 0.5000 0.5000 1
Ho3 Ho 0.5000 0.0000 0.5000 1
Ho4 Ho 0.5000 0.5000 0.0000 1
Tm1 Tm 0.0000 0.0000 0.5000 1
Tm2 Tm 0.0000 0.5000 0.0000 1
Tm3 Tm 0.5000 0.0000 0.0000 1
Tm4 Tm 0.5000 0.5000 0.5000 1
In1 In 0.2500 0.2500 0.2500 1
In2 In 0.2500 0.2500 0.7500 1
In3 In 0.2500 0.7500 0.2500 1
In4 In 0.2500 0.7500 0.7500 1
In5 In 0.7500 0.2500 0.2500 1
In6 In 0.7500 0.2500 0.7500 1
In7 In 0.7500 0.7500 0.2500 1
In8 In 0.7500 0.7500 0.7500 1
```

Main lines, most intense first (2θ from 10° to 90°):
2θ (°)  I (rel.)
34.0  100
60.8  37
48.8  18
81.6  16
71.6  11
23.9  3
55.1  2
42.0  1
76.6  1
86.6  1

(11)
Ho2ZnIn: theoretical XRD peak list (Cu Kα), based on a cell relaxed with GGA-PBE.
Lines closer than 0.1° are merged.

Atomic structure:
```
data_Ho2ZnIn
_cell_length_a 7.3229
_cell_length_b 7.3229
_cell_length_c 7.3229
_cell_angle_alpha 90.00
_cell_angle_beta 90.00
_cell_angle_gamma 90.00
_symmetry_space_group_name_H-M 'P 1'
_symmetry_Int_Tables_number 1
_symmetry_space_group_name_Hall 'P 1'
loop_
_atom_site_label
_atom_site_type_symbol
_atom_site_fract_x
_atom_site_fract_y
_atom_site_fract_z
_atom_site_occupancy
Ho1 Ho 0.2500 0.2500 0.2500 1
Ho2 Ho 0.2500 0.2500 0.7500 1
Ho3 Ho 0.2500 0.7500 0.2500 1
Ho4 Ho 0.2500 0.7500 0.7500 1
Ho5 Ho 0.7500 0.2500 0.2500 1
Ho6 Ho 0.7500 0.2500 0.7500 1
Ho7 Ho 0.7500 0.7500 0.2500 1
Ho8 Ho 0.7500 0.7500 0.7500 1
Zn1 Zn 0.0000 0.0000 0.0000 1
Zn2 Zn 0.0000 0.5000 0.5000 1
Zn3 Zn 0.5000 0.0000 0.5000 1
Zn4 Zn 0.5000 0.5000 0.0000 1
In1 In 0.0000 0.0000 0.5000 1
In2 In 0.0000 0.5000 0.0000 1
In3 In 0.5000 0.0000 0.0000 1
In4 In 0.5000 0.5000 0.5000 1
```

Main lines, most intense first (2θ from 10° to 90°):
2θ (°)  I (rel.)
34.6  100
62.1  36
49.8  18
83.5  16
73.1  11
24.3  9
56.2  4
42.8  3
78.3  2
21.0  2

(12)
HoIr: theoretical XRD peak list (Cu Kα), based on a cell relaxed with GGA-PBE.
Lines closer than 0.1° are merged.

Atomic structure:
```
data_HoIr
_cell_length_a 3.4134
_cell_length_b 3.4134
_cell_length_c 3.4134
_cell_angle_alpha 90.00
_cell_angle_beta 90.00
_cell_angle_gamma 90.00
_symmetry_space_group_name_H-M 'P 1'
_symmetry_Int_Tables_number 1
_symmetry_space_group_name_Hall 'P 1'
loop_
_atom_site_label
_atom_site_type_symbol
_atom_site_fract_x
_atom_site_fract_y
_atom_site_fract_z
_atom_site_occupancy
Ho1 Ho 0.0000 0.0000 0.0000 1
Ir1 Ir 0.5000 0.5000 0.5000 1
```

Main lines, most intense first (2θ from 10° to 90°):
2θ (°)  I (rel.)
37.3  100
67.2  36
53.7  18
79.4  11
26.1  1